Starting from a cell relaxed with PBE, the powder X-ray diffraction pattern of TmCoC was calculated for a wavelength of 1.5418 Å.
Peak positions follow from Bragg's law for the DFT cell and can differ from measured ones.

Largest 8 diffraction maxima, in order of rising 2θ, 10° ≤ 2θ ≤ 80°:
| 2θ (°) | Rel. int. |
| --- | --- |
| 24.72 | 323 |
| 35.80 | 881 |
| 35.99 | 869 |
| 36.54 | 1000 |
| 44.62 | 268 |
| 64.09 | 371 |
| 65.18 | 307 |
| 65.53 | 302 |

Atomic structure:
```
TmCoC
1.0
3.4611 0.0000 0.0000
0.0000 3.4944 0.0000
0.0000 0.0000 3.6021
Tm Co C
1 1 1
Cartesian
0.0000 0.0000 0.0000
1.7306 1.7472 1.8010
1.7306 1.7472 0.0000
```